Structure and theoretical powder diffraction line list of Li7SbS6 (a crystal structure in Alexandria, relaxed with PBE; Cu Ka).
No peak broadening, texture or thermal motion is included.

Top 10 peaks for 2θ from 15° to 90°, in order of rising 2θ:
hkl 1 0 1, 15.44 deg, I = 100
hkl 0 1 2, 17.64 deg, I = 79
hkl 1 0 4, 24.60 deg, I = 18
hkl 1 1 3, 29.56 deg, I = 84
hkl 0 2 4, 35.72 deg, I = 17
hkl 1 1 6, 39.52 deg, I = 51
hkl 2 1 1, 39.72 deg, I = 15
hkl 1 2 2, 40.69 deg, I = 15
hkl 3 0 0, 44.94 deg, I = 31
hkl 2 -1 9, 52.59 deg, I = 16

Atomic structure:
Unit cell a=6.9876 b=6.9876 c=18.0610 alpha=90.00 beta=90.00 gamma=120.00
Space group R3 (No. 146, hexagonal axes)
Symmetry-distinct sites (fractional):
Li1 0.0000 0.0000 0.0000 (multiplicity 3)
Li2 0.0001 0.7215 0.5616 (multiplicity 9)
Li3 0.0048 0.3692 0.4557 (multiplicity 9)
Sb1 0.0000 0.0000 0.3423 (multiplicity 3)
S1 0.0398 0.6713 0.0907 (multiplicity 9)
S2 0.0544 0.3433 0.9276 (multiplicity 9)

Structure and theoretical powder diffraction line list of Li4RuRh (a crystal structure in Alexandria, relaxed with PBE; Cu Ka).
No peak broadening, texture or thermal motion is included.

Top 9 peaks for 2θ from 15° to 90°, in order of rising 2θ:
hkl 1 1 1, 23.02 deg, I = 100
hkl 2 2 0, 38.03 deg, I = 92
hkl 3 1 1, 44.92 deg, I = 65
hkl 4 0 0, 54.87 deg, I = 13
hkl 3 3 1, 60.28 deg, I = 20
hkl 4 2 2, 68.71 deg, I = 31
hkl 5 1 1, 73.53 deg, I = 19
hkl 4 4 0, 81.32 deg, I = 12
hkl 5 3 1, 85.91 deg, I = 15

Atomic structure:
Unit cell a=6.693 b=6.693 c=6.693 alpha=90.00 beta=90.00 gamma=90.00
Space group F-43m (No. 216)
Symmetry-distinct sites (fractional):
Li1 0.125 0.125 0.125 (multiplicity 16)
Ru1 0.000 0.000 0.500 (multiplicity 4)
Rh1 0.250 0.250 0.750 (multiplicity 4)

Structure and theoretical powder diffraction line list of NaNbTl2O6 (a crystal structure in Alexandria, relaxed with PBE; Cu Ka).
No peak broadening, texture or thermal motion is included.

Top 10 peaks for 2θ from 15° to 90°, in order of rising 2θ:
hkl 0 2 0, 18.79 deg, I = 56
hkl 0 2 1, 23.67 deg, I = 39
hkl 2 2 0, 25.40 deg, I = 50
hkl 3 1 0, 27.23 deg, I = 100
hkl 0 0 2, 28.75 deg, I = 37
hkl 3 1 -2, 30.69 deg, I = 30
hkl 2 2 -2, 32.56 deg, I = 53
hkl 0 2 2, 34.57 deg, I = 25
hkl 1 3 2, 44.37 deg, I = 31
hkl 6 0 0, 52.45 deg, I = 29

Atomic structure:
Unit cell a=11.595 b=9.443 c=6.876 alpha=90.00 beta=115.41 gamma=90.00
Space group C2/c (No. 15)
Symmetry-distinct sites (fractional):
Na1 0.000 0.187 0.250 (multiplicity 4)
Nb1 0.000 0.164 0.750 (multiplicity 4)
Tl1 0.175 0.470 0.204 (multiplicity 8)
O1 0.093 0.277 0.989 (multiplicity 8)
O2 0.113 0.046 0.692 (multiplicity 8)
O3 0.139 0.386 0.452 (multiplicity 8)

Structure and theoretical powder diffraction line list of Ac3Nd8Er (a crystal structure in Alexandria, relaxed with PBE; Cu Ka).
No peak broadening, texture or thermal motion is included.

Top 10 peaks for 2θ from 15° to 90°, in order of rising 2θ:
hkl 2 2 -1, 24.20 deg, I = 8
hkl 1 1 -2, 29.18 deg, I = 37
hkl 3 1 1, 29.52 deg, I = 100
hkl 4 2 -1, 29.81 deg, I = 35
hkl 4 2 0, 31.17 deg, I = 10
hkl 1 3 -1, 31.96 deg, I = 12
hkl 2 2 -2, 33.17 deg, I = 21
hkl 4 2 1, 38.86 deg, I = 11
hkl 7 1 -3, 49.06 deg, I = 12
hkl 2 4 2, 54.42 deg, I = 10

Atomic structure:
Unit cell a=16.057 b=9.262 c=6.650 alpha=90.00 beta=114.41 gamma=90.00
Space group C2 (No. 5)
Symmetry-distinct sites (fractional):
Ac1 0.000 0.000 0.000 (multiplicity 2)
Ac2 0.134 0.057 0.636 (multiplicity 4)
Nd1 0.075 0.677 0.305 (multiplicity 4)
Nd2 0.128 0.335 0.107 (multiplicity 4)
Nd3 0.162 0.683 0.885 (multiplicity 4)
Nd4 0.249 0.426 0.674 (multiplicity 4)
Er1 0.000 0.392 0.500 (multiplicity 2)

Structure and theoretical powder diffraction line list of BaYbAl3SiN4O3 (a crystal structure in Alexandria, relaxed with PBE; Cu Ka).
No peak broadening, texture or thermal motion is included.

Top 10 peaks for 2θ from 15° to 90°, in order of rising 2θ:
hkl 1 0 0, 16.60 deg, I = 32
hkl 1 0 1, 18.76 deg, I = 28
hkl 1 1 0, 28.95 deg, I = 79
hkl 1 0 3, 31.21 deg, I = 100
hkl 1 1 2, 33.98 deg, I = 97
hkl 2 0 1, 34.72 deg, I = 38
hkl 2 1 3, 52.75 deg, I = 42
hkl 2 0 5, 56.84 deg, I = 38
hkl 2 2 0, 60.00 deg, I = 29
hkl 2 1 5, 65.05 deg, I = 25

Atomic structure:
Unit cell a=6.1676 b=6.1676 c=10.1891 alpha=90.00 beta=90.00 gamma=120.00
Space group P6_3mc (No. 186)
Symmetry-distinct sites (fractional):
Ba1 0.3333 0.6667 0.0000 (multiplicity 2)
Yb1 0.3333 0.6667 0.3822 (multiplicity 2)
Al1 0.1655 0.3310 0.6871 (multiplicity 6)
Si1 0.0000 0.0000 0.4487 (multiplicity 2)
N1 0.0000 0.0000 0.2684 (multiplicity 2)
N2 0.1524 0.3048 0.5064 (multiplicity 6)
O1 0.0242 0.5121 0.7406 (multiplicity 6)

Structure and theoretical powder diffraction line list of Np3Al4Ga8 (a crystal structure in Alexandria, relaxed with PBE; Cu Ka).
No peak broadening, texture or thermal motion is included.

Top 10 peaks for 2θ from 15° to 90°, in order of rising 2θ:
hkl 1 1 0, 19.15 deg, I = 15
hkl 1 1 1, 23.50 deg, I = 49
hkl 2 1 0, 30.49 deg, I = 26
hkl 2 1 1, 33.48 deg, I = 11
hkl 2 2 0, 38.85 deg, I = 100
hkl 3 1 1, 45.91 deg, I = 25
hkl 4 0 0, 56.12 deg, I = 15
hkl 3 2 2, 58.01 deg, I = 11
hkl 3 3 1, 61.67 deg, I = 13
hkl 4 2 2, 70.35 deg, I = 27

Atomic structure:
Unit cell a=6.556 b=6.556 c=6.556 alpha=90.00 beta=90.00 gamma=90.00
Space group Pm-3m (No. 221)
Symmetry-distinct sites (fractional):
Np1 0.000 0.000 0.500 (multiplicity 3)
Al1 0.000 0.000 0.000 (multiplicity 1)
Al2 0.000 0.500 0.500 (multiplicity 3)
Ga1 0.282 0.282 0.282 (multiplicity 8)

Structure and theoretical powder diffraction line list of Re3BiH (a crystal structure in Alexandria, relaxed with PBE; Cu Ka).
No peak broadening, texture or thermal motion is included.

Top 5 peaks for 2θ from 15° to 90°, in order of rising 2θ:
hkl 1 1 1, 37.66 deg, I = 100
hkl 2 0 0, 43.77 deg, I = 50
hkl 2 2 0, 63.62 deg, I = 33
hkl 3 1 1, 76.35 deg, I = 40
hkl 2 2 2, 80.41 deg, I = 12

Atomic structure:
Unit cell a=4.137 b=4.137 c=4.137 alpha=90.00 beta=90.00 gamma=90.00
Space group Pm-3m (No. 221)
Symmetry-distinct sites (fractional):
Re1 0.000 0.000 0.500 (multiplicity 3)
Bi1 0.500 0.500 0.500 (multiplicity 1)
H1 0.000 0.000 0.000 (multiplicity 1)

Structure and theoretical powder diffraction line list of Cs2Nb3F9 (a crystal structure in Alexandria, relaxed with PBE; Cu Ka).
No peak broadening, texture or thermal motion is included.

Top 10 peaks for 2θ from 15° to 90°, in order of rising 2θ:
hkl 0 2 1, 15.90 deg, I = 66
hkl 2 0 -1, 19.00 deg, I = 66
hkl 1 1 1, 19.41 deg, I = 43
hkl 1 3 0, 19.87 deg, I = 92
hkl 0 0 2, 22.65 deg, I = 58
hkl 1 3 -2, 26.45 deg, I = 100
hkl 2 4 -1, 29.60 deg, I = 49
hkl 3 1 -3, 35.47 deg, I = 50
hkl 2 4 1, 36.32 deg, I = 81
hkl 2 6 2, 51.65 deg, I = 48

Atomic structure:
Unit cell a=9.389 b=15.821 c=8.761 alpha=90.00 beta=116.36 gamma=90.00
Space group C2/m (No. 12)
Symmetry-distinct sites (fractional):
Cs1 0.115 0.160 0.308 (multiplicity 8)
Nb1 0.122 0.500 0.864 (multiplicity 4)
Nb2 0.142 0.412 0.150 (multiplicity 8)
F1 0.000 0.309 0.000 (multiplicity 4)
F2 0.020 0.403 0.304 (multiplicity 8)
F3 0.192 0.000 0.678 (multiplicity 4)
F4 0.206 0.182 0.684 (multiplicity 8)
F5 0.216 0.096 0.984 (multiplicity 8)
F6 0.241 0.000 0.269 (multiplicity 4)

Structure and theoretical powder diffraction line list of La4Te2Br3 (a crystal structure in Alexandria, relaxed with PBE; Cu Ka).
No peak broadening, texture or thermal motion is included.

Top 10 peaks for 2θ from 15° to 90°, in order of rising 2θ:
hkl 2 0 3, 27.37 deg, I = 100
hkl 1 1 -4, 30.46 deg, I = 30
hkl 1 1 6, 38.05 deg, I = 16
hkl 3 1 0, 40.10 deg, I = 47
hkl 2 0 -7, 42.36 deg, I = 31
hkl 2 2 3, 49.24 deg, I = 20
hkl 0 0 10, 51.17 deg, I = 14
hkl 5 1 3, 65.30 deg, I = 17
hkl 3 1 10, 66.92 deg, I = 26
hkl 5 1 -7, 74.41 deg, I = 11

Atomic structure:
Unit cell a=7.789 b=4.497 c=17.857 alpha=90.00 beta=90.07 gamma=90.00
Space group C2/m (No. 12)
Symmetry-distinct sites (fractional):
La1 0.001 0.000 0.300 (multiplicity 4)
La2 0.166 0.500 0.900 (multiplicity 4)
Te1 0.167 0.500 0.200 (multiplicity 4)
Br1 0.000 0.000 0.000 (multiplicity 2)
Br2 0.165 0.500 0.601 (multiplicity 4)